This entry pairs a crystal structure of LiVSiO4 with its theoretical XRD peak list. Radiation: copper Kα. Structure: a DFT-relaxed cell (GGA+U, the Materials Project).

Main lines, sorted by position (10° ≤ 2θ ≤ 90°):
11.9 deg, I = 100
18.7 deg, I = 60
24.9 deg, I = 23
26.5 deg, I = 24
27.0 deg, I = 23
31.3 deg, I = 34
33.0 deg, I = 46
34.8 deg, I = 28

Structural model:
```
LiVSiO4
1.0
5.606 0.000 0.000
0.000 10.668 0.000
-0.099 0.000 10.428
Li V Si O
8 8 8 32
Direct
0.107 0.158 0.326
0.107 0.342 0.826
0.373 0.619 0.088
0.373 0.881 0.588
0.627 0.119 0.412
0.627 0.381 0.912
0.893 0.658 0.174
0.893 0.842 0.674
0.155 0.628 0.517
0.155 0.872 0.017
0.338 0.092 0.770
0.338 0.408 0.270
0.662 0.592 0.730
0.662 0.908 0.230
0.845 0.128 0.983
0.845 0.372 0.483
0.117 0.600 0.837
0.117 0.900 0.337
0.390 0.145 0.080
0.390 0.355 0.580
0.610 0.645 0.420
0.610 0.855 0.920
0.883 0.100 0.663
0.883 0.400 0.163
0.048 0.670 0.696
0.048 0.830 0.196
0.112 0.000 0.655
0.112 0.500 0.155
0.116 0.696 0.959
0.116 0.804 0.459
0.146 0.062 0.071
0.146 0.438 0.571
0.353 0.247 0.191
0.353 0.253 0.691
0.368 0.520 0.832
0.368 0.980 0.332
0.371 0.561 0.382
0.371 0.939 0.882
0.475 0.194 0.935
0.475 0.306 0.435
0.525 0.694 0.565
0.525 0.806 0.065
0.629 0.061 0.118
0.629 0.439 0.618
0.632 0.020 0.668
0.632 0.480 0.168
0.647 0.747 0.309
0.647 0.753 0.809
0.854 0.562 0.429
0.854 0.938 0.929
0.884 0.196 0.541
0.884 0.304 0.041
0.888 0.000 0.345
0.888 0.500 0.845
0.952 0.170 0.804
0.952 0.330 0.304
```

---

This entry pairs a crystal structure of Li3FeP2O8 with its theoretical XRD peak list. Radiation: copper Kα. Structure: a DFT-relaxed cell (GGA+U, the Materials Project).

Main lines, sorted by position (10° ≤ 2θ ≤ 90°):
10.0 deg, I = 24
12.3 deg, I = 76
13.9 deg, I = 29
21.0 deg, I = 27
23.0 deg, I = 21
25.4 deg, I = 100
27.9 deg, I = 21
35.6 deg, I = 14

Structural model:
```
Li3FeP2O8
1.0
9.085 0.000 0.000
0.000 4.880 0.000
-3.488 0.000 14.380
Li Fe P O
12 4 8 32
Direct
0.100 0.136 0.346
0.100 0.364 0.846
0.234 0.653 0.491
0.234 0.847 0.991
0.392 0.246 0.576
0.392 0.254 0.076
0.608 0.746 0.924
0.608 0.754 0.424
0.766 0.153 0.009
0.766 0.347 0.509
0.900 0.636 0.154
0.900 0.864 0.654
0.311 0.709 0.707
0.311 0.791 0.207
0.689 0.209 0.793
0.689 0.291 0.293
0.094 0.226 0.143
0.094 0.274 0.643
0.432 0.250 0.372
0.432 0.250 0.872
0.568 0.750 0.128
0.568 0.750 0.628
0.906 0.726 0.357
0.906 0.774 0.857
0.051 0.688 0.926
0.051 0.812 0.426
0.064 0.025 0.216
0.064 0.475 0.716
0.173 0.003 0.686
0.173 0.497 0.186
0.217 0.069 0.102
0.217 0.431 0.602
0.340 0.002 0.323
0.340 0.498 0.823
0.349 0.138 0.942
0.349 0.362 0.442
0.402 0.645 0.084
0.402 0.855 0.584
0.467 0.026 0.803
0.467 0.474 0.303
0.533 0.526 0.697
0.533 0.974 0.197
0.598 0.145 0.416
0.598 0.355 0.916
0.651 0.638 0.558
0.651 0.862 0.058
0.660 0.502 0.177
0.660 0.998 0.677
0.783 0.569 0.398
0.783 0.931 0.898
0.827 0.503 0.814
0.827 0.997 0.314
0.936 0.525 0.284
0.936 0.975 0.784
0.949 0.188 0.574
0.949 0.312 0.074
```

---

This entry pairs a crystal structure of Li2MnP2O7 with its theoretical XRD peak list. Radiation: copper Kα. Structure: a DFT-relaxed cell (GGA+U, the Materials Project).

Main lines, sorted by position (10° ≤ 2θ ≤ 90°):
13.9 deg, I = 54
22.0 deg, I = 100
22.2 deg, I = 60
23.1 deg, I = 95
30.6 deg, I = 46
30.8 deg, I = 27
35.2 deg, I = 41
38.3 deg, I = 48

Structural model:
```
Li2MnP2O7
1.0
5.107 0.000 0.000
0.036 7.100 0.000
0.228 3.292 7.705
Li Mn P O
4 2 4 14
Direct
0.206 0.156 0.005
0.263 0.187 0.431
0.737 0.813 0.569
0.794 0.844 0.995
0.268 0.755 0.283
0.732 0.245 0.717
0.221 0.552 0.700
0.280 0.883 0.820
0.720 0.117 0.180
0.779 0.448 0.300
0.069 0.465 0.336
0.111 0.027 0.675
0.196 0.878 0.000
0.223 0.648 0.847
0.352 0.343 0.787
0.377 0.701 0.542
0.423 0.079 0.218
0.577 0.921 0.782
0.623 0.299 0.458
0.648 0.657 0.213
0.777 0.352 0.153
0.804 0.122 0.000
0.889 0.973 0.325
0.931 0.535 0.664
```

---

This entry pairs a crystal structure of CaLa2MnO6 with its theoretical XRD peak list. Radiation: copper Kα. Structure: a DFT-relaxed cell (GGA+U, the Materials Project).

Main lines, sorted by position (10° ≤ 2θ ≤ 90°):
21.8 deg, I = 44
30.5 deg, I = 100
31.6 deg, I = 96
37.9 deg, I = 26
44.5 deg, I = 54
54.3 deg, I = 28
54.9 deg, I = 43
72.7 deg, I = 16

Structural model:
```
CaLa2MnO6
1.0
2.927 1.690 4.554
-2.927 1.690 4.554
0.000 -3.380 4.554
Ca La Mn O
1 2 1 6
Direct
0.000 0.000 0.000
0.260 0.260 0.260
0.740 0.740 0.740
0.500 0.500 0.500
0.177 0.711 0.365
0.289 0.635 0.823
0.365 0.177 0.711
0.635 0.823 0.289
0.711 0.365 0.177
0.823 0.289 0.635
```